Starting from a DFT-relaxed cell (PBE, Alexandria), the powder diffractogram of KNb5Pb2O15 was simulated for Cu Kα (λ = 1.5418 Å).
Neutral-atom scattering factors, no anomalous dispersion.

Structure:
Cell lengths 3.9600, 13.0680, 13.0680 Å; angles 87.41, 90.00, 90.00 degrees
Positions (direct):
1 K 0.0000 0.0000 0.0000
2 K 0.0000 0.3423 0.3423
3 Nb 0.5000 0.1027 0.4539
4 Nb 0.5000 0.1619 0.1619
5 Nb 0.5000 0.2522 0.8834
6 Nb 0.5000 0.3883 0.5938
7 Nb 0.5000 0.4539 0.1027
8 Nb 0.5000 0.5938 0.3883
9 Nb 0.5000 0.6701 0.6701
10 Nb 0.5000 0.7431 0.9566
11 Nb 0.5000 0.8834 0.2522
12 Nb 0.5000 0.9566 0.7431
13 Pb 0.0000 0.1844 0.6768
14 Pb 0.0000 0.5384 0.8899
15 Pb 0.0000 0.6768 0.1844
16 Pb 0.0000 0.8899 0.5384
17 O 0.0000 0.0761 0.4567
18 O 0.0000 0.1552 0.1552
19 O 0.0000 0.2361 0.8571
20 O 0.0000 0.3597 0.5862
21 O 0.0000 0.4567 0.0761
22 O 0.0000 0.5862 0.3597
23 O 0.0000 0.6605 0.6605
24 O 0.0000 0.7221 0.9478
25 O 0.0000 0.8571 0.2361
26 O 0.0000 0.9478 0.7221
27 O 0.5000 0.0033 0.1635
28 O 0.5000 0.0094 0.5872
29 O 0.5000 0.0845 0.7994
30 O 0.5000 0.1592 0.3133
31 O 0.5000 0.1635 0.0033
32 O 0.5000 0.2275 0.5147
33 O 0.5000 0.2886 0.7215
34 O 0.5000 0.3133 0.1592
35 O 0.5000 0.3790 0.9394
36 O 0.5000 0.4523 0.4523
37 O 0.5000 0.5057 0.6635
38 O 0.5000 0.5147 0.2275
39 O 0.5000 0.5872 0.0094
40 O 0.5000 0.6547 0.8162
41 O 0.5000 0.6635 0.5057
42 O 0.5000 0.7215 0.2886
43 O 0.5000 0.7994 0.0845
44 O 0.5000 0.8162 0.6547
45 O 0.5000 0.8720 0.8720
46 O 0.5000 0.9394 0.3790

Principal peaks in the range 2θ from 10° to 80°, by angle:
- 2θ = 27.35°, d = 3.260 Å, rel. 62
- 2θ = 28.49°, d = 3.133 Å, rel. 29
- 2θ = 29.43°, d = 3.035 Å, rel. 33
- 2θ = 30.04°, d = 2.975 Å, rel. 41
- 2θ = 31.13°, d = 2.873 Å, rel. 100
- 2θ = 31.51°, d = 2.839 Å, rel. 52
- 2θ = 45.82°, d = 1.981 Å, rel. 49
- 2θ = 54.54°, d = 1.682 Å, rel. 29